Diffraction record for Li4MnCo2NiO8. The PXRD pattern is calculated, not measured: it uses a DFT-relaxed cell (GGA+U, the Materials Project) and Cu Kα X-rays.
Peak positions follow from Bragg's law for the DFT cell and can differ from measured ones.

Crystal structure
Unit cell a=5.0840 b=2.9490 c=9.9324 alpha=90.00 beta=100.86 gamma=90.00
Fractional coordinates of all 16 atoms:
Li 0.2418 0.0000 0.2395
Li 0.2551 0.5000 0.7672
Li 0.7449 0.5000 0.2328
Li 0.7582 0.0000 0.7605
Mn 0.5000 0.5000 0.5000
Co 0.0000 0.0000 0.5000
Co 0.0000 0.5000 0.0000
Ni 0.5000 0.0000 0.0000
O 0.1254 0.0000 0.8809
O 0.1450 0.5000 0.3888
O 0.3503 0.5000 0.1138
O 0.3904 0.0000 0.6090
O 0.6096 0.0000 0.3910
O 0.6497 0.5000 0.8862
O 0.8550 0.5000 0.6112
O 0.8746 0.0000 0.1191

Top 8 peaks for 2θ from 5° to 70°, low angle first:
2θ 18.19, I = 100, (0 0 2)
2θ 35.67, I = 29, (1 1 -1)
2θ 35.97, I = 13, (2 0 0)
2θ 43.05, I = 51, (1 1 -3)
2θ 43.74, I = 24, (2 0 2)
2θ 56.67, I = 12, (1 1 -5)
2θ 62.78, I = 13, (1 1 5)
2θ 63.30, I = 13, (3 1 -1)